Simulated powder XRD pattern of NaMn2V3O8 for a wavelength of 1.5418 Å, from the PBE+U geometry in Alexandria.
No peak broadening, texture or thermal motion is included.

Largest 10 diffraction maxima, sorted by position, 2θ = 10–90°:
17.13°, rel. 37
17.69°, rel. 73
33.34°, rel. 49
33.96°, rel. 100
34.25°, rel. 90
41.11°, rel. 64
41.58°, rel. 30
54.34°, rel. 44
59.14°, rel. 46
60.66°, rel. 45

Cell and atoms:
Unit cell a=6.1069 b=6.1069 c=6.2943 alpha=119.46 beta=119.46 gamma=60.28
Element x y z (fractional)
Na  0.0000  0.0000  0.0000
Mn  0.2466  0.2466  0.7469
Mn  0.6237  0.6237  0.8776
V  0.1156  0.6256  0.3725
V  0.6256  0.1156  0.3725
V  0.6263  0.6263  0.3804
O  0.3695  0.8298  0.5894
O  0.3762  0.3762  0.5919
O  0.3785  0.3785  0.1614
O  0.4336  0.8790  0.1747
O  0.8298  0.3695  0.5894
O  0.8680  0.8680  0.5781
O  0.8711  0.8711  0.1724
O  0.8790  0.4336  0.1747